Structure and simulated X-ray diffraction stick pattern of Pm5SmMg2 (a PBE-relaxed structure; copper Kα).

Top 8 peaks for 2θ = 10–80°, sorted by position:
index  d [Å]  2θ (°)  intensity
0 2 2  4.205  21.13  27
1 2 1  2.923  30.58  100
0 2 4  2.794  32.03  79
0 4 0  2.764  32.39  33
1 0 3  2.752  32.53  60
1 4 3  1.950  46.56  35
1 2 7  1.575  58.61  25
2 2 4  1.505  61.62  26

Structure:
Lattice parameters (Å, degrees): 3.573 11.057 12.952 90.00 90.00 90.00
Space group Immm (No. 71)
Asymmetric unit:
Pm 0.000 0.000 0.000 (multiplicity 2)
Pm 0.000 0.275 0.366 (multiplicity 8)
Sm 0.000 0.500 0.000 (multiplicity 2)
Mg 0.000 0.000 0.263 (multiplicity 4)

Structure and simulated X-ray diffraction stick pattern of PmSm2Mg5 (a PBE-relaxed structure; copper Kα).

Top 8 peaks for 2θ = 10–80°, sorted by position:
index  d [Å]  2θ (°)  intensity
0 0 4  3.889  22.87  26
1 1 0  3.735  23.82  50
1 0 3  3.701  24.05  22
1 1 4  2.694  33.26  100
2 0 0  2.641  33.94  49
2 0 4  2.185  41.32  23
2 2 0  1.868  48.76  18
3 1 4  1.535  60.30  36

Structure:
Lattice parameters (Å, degrees): 5.283 5.283 15.557 90.00 90.00 90.00
Space group I4/mmm (No. 139)
Asymmetric unit:
Pm 0.000 0.000 0.000 (multiplicity 2)
Sm 0.000 0.000 0.260 (multiplicity 4)
Mg 0.000 0.000 0.500 (multiplicity 2)
Mg 0.000 0.500 0.119 (multiplicity 8)